(1)
This entry pairs a crystal structure of CsMnAgBr6 with its computed powder diffraction line list. Radiation: a wavelength of 1.5418 Å. Structure: DFT lattice parameters and positions (GGA-PBE).
Intensities are scaled so that the largest is 100.

Structural model:
Unit cell a=7.136 b=7.136 c=7.872 alpha=90.07 beta=90.07 gamma=120.15
Fractional coordinates of all 9 atoms:
Cs  0.000  0.000  0.000
Mn  0.333  0.667  0.500
Ag  0.666  0.334  0.500
Br  0.041  0.397  0.316
Br  0.041  0.645  0.683
Br  0.354  0.397  0.683
Br  0.355  0.959  0.317
Br  0.603  0.646  0.317
Br  0.603  0.959  0.684

Most intense lines, 10° ≤ 2θ ≤ 90°, by angle:
| two_theta | d/Å | Rel. int. |
| --- | --- | --- |
| 11.24 | 7.872 | 48 |
| 18.26 | 4.859 | 100 |
| 27.46 | 3.248 | 76 |
| 28.92 | 3.088 | 14 |
| 33.89 | 2.645 | 66 |
| 34.00 | 2.637 | 31 |
| 40.28 | 2.239 | 32 |
| 44.02 | 2.057 | 22 |
| 53.16 | 1.723 | 23 |
| 56.68 | 1.624 | 14 |

---

(2)
This entry pairs a crystal structure of ReHS2 with its computed powder diffraction line list. Radiation: a wavelength of 1.5418 Å. Structure: DFT lattice parameters and positions (GGA-PBE).
Intensities are scaled so that the largest is 100.

Structural model:
Unit cell a=3.228 b=5.876 c=6.901 alpha=78.21 beta=78.32 gamma=88.57
Fractional coordinates of all 8 atoms:
Re  0.000  0.000  0.000
Re  0.455  0.600  0.994
H  0.228  0.759  0.396
H  0.315  0.135  0.383
S  0.049  0.419  0.810
S  0.416  0.197  0.175
S  0.599  0.940  0.752
S  0.967  0.681  0.282

Most intense lines, 10° ≤ 2θ ≤ 90°, by angle:
| two_theta | d/Å | Rel. int. |
| --- | --- | --- |
| 13.38 | 6.617 | 100 |
| 15.41 | 5.751 | 6 |
| 26.95 | 3.309 | 9 |
| 31.10 | 2.875 | 8 |
| 31.64 | 2.828 | 13 |
| 32.08 | 2.790 | 7 |
| 35.90 | 2.501 | 12 |
| 36.34 | 2.472 | 13 |
| 36.52 | 2.460 | 10 |
| 46.53 | 1.952 | 7 |

---

(3)
This entry pairs a crystal structure of PbW3 with its computed powder diffraction line list. Radiation: a wavelength of 1.5418 Å. Structure: DFT lattice parameters and positions (GGA-PBE).
Intensities are scaled so that the largest is 100.

Structural model:
Unit cell a=5.062 b=5.062 c=4.894 alpha=104.35 beta=104.35 gamma=36.68
Fractional coordinates of all 4 atoms:
Pb  0.000  0.000  0.000
W  0.234  0.234  0.719
W  0.500  0.500  0.500
W  0.766  0.766  0.281

Most intense lines, 10° ≤ 2θ ≤ 90°, by angle:
| two_theta | d/Å | Rel. int. |
| --- | --- | --- |
| 36.71 | 2.448 | 100 |
| 37.97 | 2.370 | 47 |
| 38.83 | 2.319 | 41 |
| 41.60 | 2.171 | 74 |
| 47.54 | 1.913 | 21 |
| 57.89 | 1.593 | 14 |
| 64.39 | 1.447 | 18 |
| 65.57 | 1.424 | 16 |
| 71.35 | 1.322 | 15 |
| 71.91 | 1.313 | 14 |

---

(4)
This entry pairs a crystal structure of Tb3Se3Br with its computed powder diffraction line list. Radiation: a wavelength of 1.5418 Å. Structure: DFT lattice parameters and positions (GGA-PBE).
Intensities are scaled so that the largest is 100.

Structural model:
Unit cell a=7.617 b=7.617 c=7.617 alpha=69.71 beta=69.71 gamma=69.71
Fractional coordinates of all 14 atoms:
Tb  0.085  0.716  0.439
Tb  0.284  0.561  0.915
Tb  0.439  0.085  0.716
Tb  0.561  0.915  0.284
Tb  0.716  0.439  0.085
Tb  0.915  0.284  0.561
Se  0.090  0.380  0.793
Se  0.207  0.910  0.620
Se  0.380  0.793  0.090
Se  0.620  0.207  0.910
Se  0.793  0.090  0.380
Se  0.910  0.620  0.207
Br  0.326  0.326  0.326
Br  0.674  0.674  0.674

Most intense lines, 10° ≤ 2θ ≤ 90°, by angle:
| two_theta | d/Å | Rel. int. |
| --- | --- | --- |
| 20.40 | 4.353 | 55 |
| 25.72 | 3.464 | 43 |
| 31.26 | 2.862 | 37 |
| 33.12 | 2.704 | 19 |
| 35.73 | 2.513 | 100 |
| 37.62 | 2.391 | 62 |
| 44.56 | 2.033 | 17 |
| 48.19 | 1.888 | 50 |
| 52.85 | 1.732 | 19 |
| 76.64 | 1.243 | 20 |

---

(5)
This entry pairs a crystal structure of PuIn2Pd2 with its computed powder diffraction line list. Radiation: a wavelength of 1.5418 Å. Structure: DFT lattice parameters and positions (GGA-PBE).
Intensities are scaled so that the largest is 100.

Structural model:
Unit cell a=3.402 b=4.898 c=12.727 alpha=90.00 beta=90.00 gamma=90.00
Fractional coordinates of all 10 atoms:
Pu  0.250  0.250  0.250
Pu  0.750  0.750  0.750
In  0.250  0.250  0.633
In  0.250  0.750  0.973
In  0.750  0.250  0.027
In  0.750  0.750  0.367
Pd  0.250  0.250  0.850
Pd  0.250  0.750  0.537
Pd  0.750  0.250  0.463
Pd  0.750  0.750  0.150

Most intense lines, 10° ≤ 2θ ≤ 90°, by angle:
| two_theta | d/Å | Rel. int. |
| --- | --- | --- |
| 27.82 | 3.207 | 17 |
| 32.03 | 2.794 | 15 |
| 33.77 | 2.654 | 50 |
| 35.08 | 2.558 | 100 |
| 36.69 | 2.449 | 44 |
| 39.92 | 2.259 | 58 |
| 50.72 | 1.800 | 32 |
| 65.04 | 1.434 | 17 |
| 66.99 | 1.397 | 15 |
| 69.14 | 1.359 | 25 |

---

(6)
This entry pairs a crystal structure of NaCu6Ge2 with its computed powder diffraction line list. Radiation: a wavelength of 1.5418 Å. Structure: DFT lattice parameters and positions (GGA-PBE).
Intensities are scaled so that the largest is 100.

Structural model:
Unit cell a=4.041 b=4.041 c=8.275 alpha=90.00 beta=90.00 gamma=90.00
Fractional coordinates of all 9 atoms:
Na  0.000  0.000  0.000
Cu  0.000  0.000  0.500
Cu  0.000  0.500  0.316
Cu  0.000  0.500  0.684
Cu  0.500  0.000  0.316
Cu  0.500  0.000  0.684
Cu  0.500  0.500  0.500
Ge  0.500  0.500  0.153
Ge  0.500  0.500  0.847

Most intense lines, 10° ≤ 2θ ≤ 90°, by angle:
| two_theta | d/Å | Rel. int. |
| --- | --- | --- |
| 10.69 | 8.275 | 62 |
| 22.00 | 4.041 | 21 |
| 38.28 | 2.351 | 55 |
| 39.56 | 2.278 | 16 |
| 44.86 | 2.021 | 68 |
| 45.72 | 1.985 | 100 |
| 65.31 | 1.429 | 20 |
| 78.30 | 1.221 | 11 |
| 83.34 | 1.160 | 31 |
| 85.18 | 1.139 | 14 |

---

(7)
This entry pairs a crystal structure of BaAg2RhF8 with its computed powder diffraction line list. Radiation: a wavelength of 1.5418 Å. Structure: DFT lattice parameters and positions (GGA-PBE).
Intensities are scaled so that the largest is 100.

Structural model:
Unit cell a=5.263 b=5.263 c=7.967 alpha=90.14 beta=90.14 gamma=63.81
Fractional coordinates of all 12 atoms:
Ba  0.000  0.000  0.000
Ag  0.313  0.313  0.307
Ag  0.687  0.687  0.693
Rh  0.000  0.000  0.500
F  0.203  0.736  0.686
F  0.213  0.213  0.565
F  0.264  0.797  0.314
F  0.309  0.309  0.037
F  0.691  0.691  0.963
F  0.736  0.203  0.686
F  0.787  0.787  0.435
F  0.797  0.264  0.314

Most intense lines, 10° ≤ 2θ ≤ 90°, by angle:
| two_theta | d/Å | Rel. int. |
| --- | --- | --- |
| 18.79 | 4.723 | 38 |
| 21.87 | 4.063 | 82 |
| 22.84 | 3.894 | 22 |
| 29.35 | 3.044 | 100 |
| 30.03 | 2.976 | 36 |
| 32.18 | 2.782 | 46 |
| 34.14 | 2.626 | 77 |
| 39.83 | 2.263 | 23 |
| 44.59 | 2.032 | 48 |
| 49.65 | 1.836 | 29 |

---

(8)
This entry pairs a crystal structure of LaPm2Dy with its computed powder diffraction line list. Radiation: a wavelength of 1.5418 Å. Structure: DFT lattice parameters and positions (GGA-PBE).
Intensities are scaled so that the largest is 100.

Structural model:
Unit cell a=6.393 b=5.882 c=14.750 alpha=90.00 beta=90.00 gamma=90.00
Fractional coordinates of all 16 atoms:
La  0.086  0.250  0.188
La  0.414  0.750  0.688
La  0.586  0.250  0.312
La  0.914  0.750  0.812
Pm  0.082  0.250  0.685
Pm  0.086  0.250  0.938
Pm  0.414  0.750  0.438
Pm  0.418  0.750  0.185
Pm  0.582  0.250  0.815
Pm  0.586  0.250  0.562
Pm  0.914  0.750  0.062
Pm  0.918  0.750  0.315
Dy  0.082  0.250  0.439
Dy  0.418  0.750  0.939
Dy  0.582  0.250  0.061
Dy  0.918  0.750  0.561

Most intense lines, 10° ≤ 2θ ≤ 90°, by angle:
| two_theta | d/Å | Rel. int. |
| --- | --- | --- |
| 27.93 | 3.195 | 23 |
| 30.39 | 2.941 | 25 |
| 31.88 | 2.807 | 100 |
| 41.74 | 2.164 | 16 |
| 49.41 | 1.845 | 20 |
| 54.95 | 1.671 | 21 |
| 59.12 | 1.563 | 23 |
| 60.01 | 1.542 | 16 |
| 81.35 | 1.183 | 14 |
| 84.20 | 1.150 | 8 |